(1)
The following is a calculated powder diffraction line list of YCu3Bi4O12. It was derived from a GGA-PBE-relaxed structure, using a wavelength of 1.5418 Å.
Neutral-atom scattering factors, no anomalous dispersion.

Top 10 peaks for 2θ from 10° to 90°, by angle:
hkl 2 0 0, 21.68 deg, intensity 28.1; hkl 2 2 0, 30.85 deg, intensity 100.0; hkl 2 2 2, 38.03 deg, intensity 7.9; hkl 4 0 0, 44.19 deg, intensity 21.5; hkl 4 2 0, 49.74 deg, intensity 15.8; hkl 4 2 2, 54.87 deg, intensity 47.7; hkl 4 4 0, 64.28 deg, intensity 12.8; hkl 4 4 2, 68.70 deg, intensity 6.1; hkl 6 2 0, 72.99 deg, intensity 18.8; hkl 6 2 4, 89.46 deg, intensity 23.2

Atomic structure:
```
data_YCu3Bi4O12
_chemical_formula_sum 'Y2 Cu6 Bi8 O24'
_symmetry_space_group_name_H-M 'I m -3'
_symmetry_Int_Tables_number 204
_symmetry_space_group_name_Hall '-I 2 2 3'
_cell_length_a 8.197
_cell_length_b 8.197
_cell_length_c 8.197
_cell_angle_alpha 90.00
_cell_angle_beta 90.00
_cell_angle_gamma 90.00
loop_
_atom_site_label
_atom_site_fract_x
_atom_site_fract_y
_atom_site_fract_z
Y1 0.000 0.000 0.000
Cu1 0.000 0.000 0.500
Bi1 0.250 0.250 0.250
O1 0.000 0.311 0.151
```

(2)
The following is a calculated powder diffraction line list of ZnCuBiO5. It was derived from a GGA-PBE-relaxed structure, using a wavelength of 1.5418 Å.
Neutral-atom scattering factors, no anomalous dispersion.

Top 10 peaks for 2θ from 10° to 90°, by angle:
hkl 0 1 1, 14.08 deg, intensity 32.4; hkl 1 0 0, 17.90 deg, intensity 61.7; hkl 0 2 1, 19.90 deg, intensity 22.7; hkl 1 2 -1, 24.56 deg, intensity 51.6; hkl 1 1 -2, 26.29 deg, intensity 75.6; hkl 1 2 1, 29.07 deg, intensity 100.0; hkl 0 4 0, 32.68 deg, intensity 25.9; hkl 1 3 -2, 35.17 deg, intensity 38.3; hkl 0 1 3, 36.03 deg, intensity 28.1; hkl 1 3 2, 41.72 deg, intensity 22.1

Atomic structure:
```
data_ZnCuBiO5
_chemical_formula_sum 'Zn4 Cu4 Bi4 O20'
_symmetry_space_group_name_H-M 'P 1 21/c 1'
_symmetry_Int_Tables_number 14
_cell_length_a 5.167
_cell_length_b 10.961
_cell_length_c 8.009
_cell_angle_alpha 90.00
_cell_angle_beta 106.52
_cell_angle_gamma 90.00
loop_
_symmetry_equiv_pos_as_xyz
'x,y,z'
'-x,-y,-z'
'-x,y+1/2,-z+1/2'
'x,-y+1/2,z+1/2'
loop_
_atom_site_label
_atom_site_fract_x
_atom_site_fract_y
_atom_site_fract_z
Zn1 0.037 0.088 0.190
Cu1 0.342 0.640 0.037
Bi1 0.485 0.102 0.838
O1 0.221 0.521 0.162
O2 0.241 0.565 0.818
O3 0.243 0.039 0.005
O4 0.250 0.706 0.451
O5 0.369 0.209 0.286
```

(3)
The following is a calculated powder diffraction line list of CuBiP2Se6. It was derived from a GGA-PBE-relaxed structure, using a wavelength of 1.5418 Å.
Neutral-atom scattering factors, no anomalous dispersion.

Top 10 peaks for 2θ from 10° to 90°, by angle:
hkl 0 0 12, 12.30 deg, intensity 48.9; hkl 0 0 24, 24.75 deg, intensity 10.3; hkl 1 0 19, 25.00 deg, intensity 10.5; hkl 0 1 20, 25.83 deg, intensity 9.6; hkl 1 1 12, 29.68 deg, intensity 100.0; hkl 1 1 24, 36.87 deg, intensity 47.9; hkl 2 -1 36, 46.76 deg, intensity 20.4; hkl 3 0 0, 47.52 deg, intensity 32.1; hkl 4 -2 12, 57.03 deg, intensity 13.2; hkl 0 3 48, 72.08 deg, intensity 12.0

Atomic structure:
```
data_CuBiP2Se6
_chemical_formula_sum 'Cu12 Bi12 P24 Se72'
_symmetry_space_group_name_H-M 'R -3'
_symmetry_Int_Tables_number 148
_symmetry_space_group_name_Hall '-R 3'
_cell_length_a 6.6287
_cell_length_b 6.6287
_cell_length_c 86.3180
_cell_angle_alpha 90.00
_cell_angle_beta 90.00
_cell_angle_gamma 120.00
loop_
_atom_site_label
_atom_site_fract_x
_atom_site_fract_y
_atom_site_fract_z
Cu1 0.0000 0.0000 0.0437
Cu2 0.0000 0.0000 0.1394
Bi1 0.0000 0.0000 0.2921
Bi2 0.0000 0.0000 0.4550
P1 0.0000 0.0000 0.1962
P2 0.0000 0.0000 0.2227
P3 0.0000 0.0000 0.3615
P4 0.0000 0.0000 0.3879
Se1 0.0053 0.6375 0.7285
Se2 0.0082 0.3532 0.8541
Se3 0.0082 0.6271 0.5627
Se4 0.0090 0.3758 0.6882
```

(4)
The following is a calculated powder diffraction line list of CuBiP2Se6. It was derived from a GGA-PBE-relaxed structure, using a wavelength of 1.5418 Å.
Neutral-atom scattering factors, no anomalous dispersion.

Top 10 peaks for 2θ from 10° to 90°, by angle:
hkl 0 0 2, 12.01 deg, intensity 72.7; hkl 1 0 1, 16.61 deg, intensity 14.0; hkl 1 0 3, 23.87 deg, intensity 27.8; hkl 2 -1 2, 29.61 deg, intensity 100.0; hkl 2 0 1, 31.84 deg, intensity 15.2; hkl 1 0 5, 34.21 deg, intensity 18.7; hkl 2 -1 4, 36.52 deg, intensity 56.6; hkl 1 1 6, 46.03 deg, intensity 27.4; hkl 3 0 0, 47.64 deg, intensity 31.0; hkl 4 -1 3, 61.39 deg, intensity 14.2

Atomic structure:
```
data_CuBiP2Se6
_chemical_formula_sum 'Cu2 Bi2 P4 Se12'
_symmetry_space_group_name_H-M 'P -3 1 c'
_symmetry_Int_Tables_number 163
_symmetry_space_group_name_Hall '-P 3 2c'
_cell_length_a 6.6123
_cell_length_b 6.6123
_cell_length_c 14.7377
_cell_angle_alpha 90.00
_cell_angle_beta 90.00
_cell_angle_gamma 120.00
loop_
_atom_site_label
_atom_site_fract_x
_atom_site_fract_y
_atom_site_fract_z
Cu1 0.0000 0.0000 0.2500
Bi1 0.3333 0.6667 0.2500
P1 0.3333 0.6667 0.6726
Se1 0.0310 0.3250 0.8677
```

(5)
The following is a calculated powder diffraction line list of CuBi3PbS6. It was derived from a GGA-PBE-relaxed structure, using a wavelength of 1.5418 Å.
Neutral-atom scattering factors, no anomalous dispersion.

Top 10 peaks for 2θ from 10° to 90°, by angle:
hkl 0 2 2, 21.92 deg, intensity 46.2; hkl 0 1 3, 23.97 deg, intensity 100.0; hkl 1 1 1, 24.61 deg, intensity 46.2; hkl 0 3 1, 25.10 deg, intensity 73.6; hkl 1 1 2, 27.92 deg, intensity 57.5; hkl 1 2 1, 28.30 deg, intensity 86.2; hkl 1 2 2, 31.24 deg, intensity 84.9; hkl 1 3 1, 33.61 deg, intensity 39.2; hkl 0 2 4, 34.37 deg, intensity 48.4; hkl 2 0 0, 44.85 deg, intensity 39.4

Atomic structure:
```
data_CuBi3PbS6
_chemical_formula_sum 'Cu2 Bi6 Pb2 S12'
_symmetry_space_group_name_H-M 'P m c 21'
_symmetry_Int_Tables_number 26
_cell_length_a 4.042
_cell_length_b 11.159
_cell_length_c 11.808
_cell_angle_alpha 90.00
_cell_angle_beta 90.00
_cell_angle_gamma 90.00
loop_
_symmetry_equiv_pos_as_xyz
'x,y,z'
'-x,-y,z+1/2'
'-x,y,z'
'x,-y,z+1/2'
loop_
_atom_site_label
_atom_site_fract_x
_atom_site_fract_y
_atom_site_fract_z
Cu1 0.000 0.039 0.000
Bi1 0.000 0.422 0.288
Bi2 0.500 0.065 0.254
Bi3 0.500 0.287 0.923
Pb1 0.000 0.247 0.595
S1 0.000 0.122 0.820
S2 0.000 0.189 0.149
S3 0.000 0.444 0.982
S4 0.500 0.051 0.554
S5 0.500 0.299 0.389
S6 0.500 0.393 0.724
```

(6)
The following is a calculated powder diffraction line list of Cu2Bi8Pb6S19. It was derived from a GGA-PBE-relaxed structure, using a wavelength of 1.5418 Å.
Neutral-atom scattering factors, no anomalous dispersion.

Top 10 peaks for 2θ from 10° to 90°, by angle:
hkl 0 1 4, 23.42 deg, intensity 64.6; hkl 0 3 -3, 25.33 deg, intensity 100.0; hkl 0 4 1, 26.00 deg, intensity 45.5; hkl 1 -1 3, 27.75 deg, intensity 25.0; hkl -1 2 1, 28.40 deg, intensity 28.2; hkl 0 3 -4, 29.46 deg, intensity 24.5; hkl 1 3 3, 30.65 deg, intensity 78.0; hkl 1 -5 2, 42.61 deg, intensity 23.9; hkl 1 0 7, 43.46 deg, intensity 26.0; hkl 2 1 1, 44.60 deg, intensity 34.5

Atomic structure:
```
data_Cu2Bi8Pb6S19
_chemical_formula_sum 'Cu2 Bi8 Pb6 S19'
_symmetry_space_group_name_H-M 'P -1'
_symmetry_Int_Tables_number 2
_cell_length_a 4.063
_cell_length_b 14.206
_cell_length_c 15.942
_cell_angle_alpha 89.35
_cell_angle_beta 82.72
_cell_angle_gamma 81.80
loop_
_symmetry_equiv_pos_as_xyz
'x,y,z'
'-x,-y,-z'
loop_
_atom_site_label
_atom_site_fract_x
_atom_site_fract_y
_atom_site_fract_z
Cu1 0.046 0.012 0.409
Bi1 0.207 0.136 0.961
Bi2 0.279 0.546 0.395
Bi3 0.397 0.246 0.455
Bi4 0.409 0.897 0.793
Pb1 0.008 0.636 0.846
Pb2 0.184 0.840 0.279
Pb3 0.401 0.608 0.093
S1 0.000 0.500 0.000
S2 0.004 0.209 0.276
S3 0.068 0.867 0.493
S4 0.173 0.589 0.567
S5 0.196 0.977 0.125
S6 0.208 0.255 0.833
S7 0.288 0.311 0.615
S8 0.387 0.766 0.954
S9 0.404 0.474 0.227
S10 0.409 0.013 0.662
```